# 1
Computed powder XRD pattern
Compound: Ho2Fe17C
Radiation: Cu Kα (weighted mean of Kα1 and Kα2)
Structure: a cell relaxed with GGA-PBE
Peak positions follow from Bragg's law for the DFT cell and can differ from measured ones.

Crystal structure
Cell lengths 9.610, 8.604, 6.406 Å; angles 90.00, 99.16, 90.00 degrees
Space group C2/m (No. 12)
Unique sites:
Ho 0.161 0.000 0.347 (multiplicity 4)
Fe 0.000 0.215 0.000 (multiplicity 4)
Fe 0.000 0.500 0.500 (multiplicity 2)
Fe 0.096 0.254 0.657 (multiplicity 8)
Fe 0.097 0.500 0.903 (multiplicity 4)
Fe 0.146 0.354 0.292 (multiplicity 8)
Fe 0.157 0.000 0.849 (multiplicity 4)
Fe 0.250 0.250 0.000 (multiplicity 4)
C 0.000 0.000 0.000 (multiplicity 2)

Most intense lines, 5° ≤ 2θ ≤ 70°, low angle first:
2θ = 30.06°, rel. 44.9; 2θ = 36.27°, rel. 41.8; 2θ = 37.90°, rel. 43.3; 2θ = 42.00°, rel. 35.5; 2θ = 42.37°, rel. 66.1; 2θ = 42.58°, rel. 100.0; 2θ = 42.80°, rel. 26.7; 2θ = 43.93°, rel. 62.7

=====

# 2
Computed powder XRD pattern
Compound: Ho2Fe17C
Radiation: Cu Kα (weighted mean of Kα1 and Kα2)
Structure: a cell relaxed with GGA-PBE
Peak positions follow from Bragg's law for the DFT cell and can differ from measured ones.

Crystal structure
Cell lengths 8.250, 8.514, 14.804 Å; angles 90.00, 90.00, 90.00 degrees
Space group Amm2 (No. 38)
Unique sites:
Ho 0.000 0.000 0.000 (multiplicity 2)
Ho 0.000 0.000 0.328 (multiplicity 2)
Ho 0.500 0.000 0.664 (multiplicity 2)
Ho 0.500 0.000 0.996 (multiplicity 2)
Fe 0.000 0.140 0.807 (multiplicity 4)
Fe 0.000 0.146 0.522 (multiplicity 4)
Fe 0.000 0.207 0.161 (multiplicity 4)
Fe 0.145 0.000 0.664 (multiplicity 4)
Fe 0.231 0.250 0.413 (multiplicity 8)
Fe 0.232 0.000 0.163 (multiplicity 4)
Fe 0.252 0.249 0.746 (multiplicity 8)
Fe 0.254 0.000 0.499 (multiplicity 4)
Fe 0.269 0.250 0.081 (multiplicity 8)
Fe 0.270 0.000 0.829 (multiplicity 4)
Fe 0.357 0.000 0.330 (multiplicity 4)
Fe 0.500 0.144 0.181 (multiplicity 4)
Fe 0.500 0.152 0.476 (multiplicity 4)
Fe 0.500 0.206 0.833 (multiplicity 4)
C 0.000 0.248 0.914 (multiplicity 4)

Most intense lines, 5° ≤ 2θ ≤ 70°, low angle first:
2θ = 30.14°, rel. 43.1; 2θ = 36.52°, rel. 28.3; 2θ = 40.91°, rel. 34.6; 2θ = 42.34°, rel. 43.2; 2θ = 42.47°, rel. 21.0; 2θ = 42.77°, rel. 100.0; 2θ = 43.90°, rel. 31.6; 2θ = 62.66°, rel. 18.3

=====

# 3
Computed powder XRD pattern
Compound: Ho2FeC4
Radiation: Cu Kα (weighted mean of Kα1 and Kα2)
Structure: a cell relaxed with GGA-PBE
Peak positions follow from Bragg's law for the DFT cell and can differ from measured ones.

Crystal structure
Cell lengths 7.447, 9.550, 5.003 Å; angles 90.00, 90.00, 90.00 degrees
Space group Ibam (No. 72)
Unique sites:
Ho 0.156 0.145 0.000 (multiplicity 8)
Fe 0.000 0.500 0.250 (multiplicity 4)
C 0.162 0.129 0.500 (multiplicity 8)
C 0.166 0.422 0.000 (multiplicity 8)

Most intense lines, 5° ≤ 2θ ≤ 70°, low angle first:
2θ = 28.48°, rel. 100.0; 2θ = 30.53°, rel. 51.5; 2θ = 31.38°, rel. 82.2; 2θ = 35.90°, rel. 25.4; 2θ = 37.43°, rel. 30.0; 2θ = 39.14°, rel. 23.9; 2θ = 53.02°, rel. 23.6; 2θ = 60.03°, rel. 45.3

=====

# 4
Computed powder XRD pattern
Compound: HoFe2SiC
Radiation: Cu Kα (weighted mean of Kα1 and Kα2)
Structure: a cell relaxed with GGA-PBE
Peak positions follow from Bragg's law for the DFT cell and can differ from measured ones.

Crystal structure
Cell lengths 3.742, 10.415, 6.743 Å; angles 90.00, 90.00, 90.00 degrees
Space group Cmcm (No. 63)
Unique sites:
Ho 0.000 0.048 0.250 (multiplicity 4)
Fe 0.000 0.334 0.062 (multiplicity 8)
Si 0.000 0.232 0.750 (multiplicity 4)
C 0.000 0.500 0.000 (multiplicity 4)

Most intense lines, 5° ≤ 2θ ≤ 70°, low angle first:
2θ = 31.61°, rel. 31.2; 2θ = 35.27°, rel. 49.7; 2θ = 36.91°, rel. 100.0; 2θ = 37.01°, rel. 46.2; 2θ = 37.78°, rel. 51.2; 2θ = 43.89°, rel. 31.5; 2θ = 48.67°, rel. 25.3; 2θ = 54.45°, rel. 24.5